No. 1
Diffraction record for DyTaIrRu. The powder diffraction line list is computed, not measured: it uses a crystal structure in Alexandria, relaxed with GGA-PBE and a wavelength of 1.5418 Å.
Lines closer than 0.1° are merged.

Top 8 peaks for 2θ from 10° to 80°, by intensity:
2theta, I (rel.)
38.72, 100.0
70.08, 35.2
55.91, 17.3
23.42, 4.4
45.75, 2.5
61.44, 1.1
75.03, 0.8
27.11, 0.7

```
4
Lattice="0.000 3.289 3.289 3.289 0.000 3.289 3.289 3.289 0.000" Properties=species:S:1:pos:R:3 pbc="T T T"
Dy 0.000 0.000 0.000
Ta 3.289 3.289 3.289
Ir 4.933 4.933 4.933
Ru 1.644 1.644 1.644
```



No. 2
Diffraction record for Dy6SbIr2Se3. The powder diffraction line list is computed, not measured: it uses a crystal structure in Alexandria, relaxed with GGA-PBE and a wavelength of 1.5418 Å.
Lines closer than 0.1° are merged.

Top 8 peaks for 2θ from 10° to 80°, by intensity:
2theta, I (rel.)
30.39, 100.0
44.26, 50.5
30.46, 47.8
42.89, 37.7
54.72, 18.4
12.63, 18.1
42.71, 17.8
72.90, 14.3

```
12
Lattice="9.150 -2.044 0.000 9.150 2.044 0.000 -2.307 0.000 8.156" Properties=species:S:1:pos:R:3 pbc="T T T"
Dy -0.386 0.000 2.156
Dy 4.990 0.000 3.478
Dy 3.934 0.000 7.210
Dy 12.059 0.000 0.946
Dy 11.003 0.000 4.678
Dy 16.379 0.000 6.000
Sb 9.150 0.000 0.000
Ir 2.316 0.000 2.781
Ir 13.677 0.000 5.375
Se 1.000 0.000 6.852
Se 7.997 0.000 4.078
Se 14.994 0.000 1.304
```



No. 3
Diffraction record for Dy3ScIr8. The powder diffraction line list is computed, not measured: it uses a crystal structure in Alexandria, relaxed with GGA-PBE and a wavelength of 1.5418 Å.
Lines closer than 0.1° are merged.

Top 8 peaks for 2θ from 10° to 80°, by intensity:
2theta, I (rel.)
39.66, 100.0
41.50, 53.0
64.21, 32.5
70.70, 29.9
20.41, 21.3
33.63, 16.9
48.30, 11.1
60.14, 6.3

```
12
Lattice="2.666 1.539 8.698 -2.666 1.539 8.698 0.000 -3.078 8.698" Properties=species:S:1:pos:R:3 pbc="T T T"
Dy 0.000 0.000 0.000
Dy 0.000 0.000 3.285
Dy 0.000 0.000 16.256
Sc 0.000 0.000 13.016
Ir 0.000 -1.537 5.949
Ir -1.331 0.769 5.949
Ir -1.329 -0.767 10.342
Ir 0.000 0.000 8.147
Ir 1.331 0.769 5.949
Ir 1.329 -0.767 10.342
Ir 0.000 1.535 10.342
Ir 0.000 0.000 21.196
```



No. 4
Diffraction record for DyIrSe. The powder diffraction line list is computed, not measured: it uses a crystal structure in Alexandria, relaxed with GGA-PBE and a wavelength of 1.5418 Å.
Lines closer than 0.1° are merged.

Top 8 peaks for 2θ from 10° to 80°, by intensity:
2theta, I (rel.)
37.69, 100.0
37.05, 59.4
27.42, 52.5
47.42, 35.8
62.98, 25.4
26.56, 18.2
48.99, 17.3
73.08, 16.7

```
6
Lattice="10.536 0.000 0.000 0.000 1.859 3.356 0.000 -1.859 3.356" Properties=species:S:1:pos:R:3 pbc="T T T"
Dy 1.770 0.000 0.000
Dy 8.766 0.000 0.000
Ir 0.000 0.000 4.511
Ir 5.268 0.000 6.516
Se 3.788 0.000 4.482
Se 6.749 0.000 4.482
```